Structure and computed powder diffractogram of TlCuAg2F4 (a structure optimized by DFT (PBE); a wavelength of 1.5418 Å).
Neutral-atom scattering factors, no anomalous dispersion.

Crystal structure
Unit cell a=5.509 b=5.739 c=5.834 alpha=117.23 beta=117.83 gamma=91.41
Space group P1 (No. 1)
Symmetry-distinct sites (fractional):
Tl 0.000 0.000 0.000 [1 per cell]
Cu 0.668 0.324 0.504 [1 per cell]
Ag 0.309 0.642 0.476 [1 per cell]
Ag 0.527 0.526 0.948 [1 per cell]
F 0.098 0.434 0.950 [1 per cell]
F 0.487 0.957 0.012 [1 per cell]
F 0.492 0.085 0.561 [1 per cell]
F 0.832 0.562 0.435 [1 per cell]

Peak list (8 most intense, 5° ≤ 2θ ≤ 70°, sorted by position)
- 2θ = 18.97°, I = 72
- 2θ = 29.77°, I = 92
- 2θ = 30.38°, I = 100
- 2θ = 30.61°, I = 93
- 2θ = 30.83°, I = 84
- 2θ = 31.19°, I = 82
- 2θ = 32.52°, I = 89
- 2θ = 41.29°, I = 74



Structure and computed powder diffractogram of Fe2CuAg (a structure optimized by DFT (PBE); a wavelength of 1.5418 Å).
Neutral-atom scattering factors, no anomalous dispersion.

Crystal structure
Unit cell a=2.990 b=2.990 c=6.072 alpha=90.00 beta=90.00 gamma=90.00
Space group P4mm (No. 99)
Symmetry-distinct sites (fractional):
Fe 0.000 0.000 0.000 [1 per cell]
Fe 0.500 0.500 0.204 [1 per cell]
Cu 0.500 0.500 0.768 [1 per cell]
Ag 0.000 0.000 0.494 [1 per cell]

Peak list (8 most intense, 5° ≤ 2θ ≤ 70°, sorted by position)
- 2θ = 14.59°, I = 3
- 2θ = 33.40°, I = 15
- 2θ = 42.43°, I = 100
- 2θ = 42.77°, I = 52
- 2θ = 44.77°, I = 4
- 2θ = 61.04°, I = 6
- 2θ = 62.08°, I = 16
- 2θ = 63.64°, I = 5



Structure and computed powder diffractogram of Th2FeCuAg (a structure optimized by DFT (PBE); a wavelength of 1.5418 Å).
Neutral-atom scattering factors, no anomalous dispersion.

Crystal structure
Unit cell a=7.717 b=3.872 c=7.859 alpha=90.00 beta=111.70 gamma=90.00
Space group P2_1/m (No. 11)
Symmetry-distinct sites (fractional):
Th 0.120 0.250 0.348 [2 per cell]
Th 0.275 0.250 0.989 [2 per cell]
Fe 0.121 0.750 0.108 [2 per cell]
Cu 0.438 0.750 0.371 [2 per cell]
Ag 0.328 0.750 0.680 [2 per cell]

Peak list (8 most intense, 5° ≤ 2θ ≤ 70°, sorted by position)
- 2θ = 27.69°, I = 46
- 2θ = 31.61°, I = 70
- 2θ = 32.65°, I = 100
- 2θ = 33.74°, I = 48
- 2θ = 36.27°, I = 43
- 2θ = 36.93°, I = 61
- 2θ = 39.43°, I = 47
- 2θ = 46.93°, I = 45



Structure and computed powder diffractogram of Ga4CuAg4 (a structure optimized by DFT (PBE); a wavelength of 1.5418 Å).
Neutral-atom scattering factors, no anomalous dispersion.

Crystal structure
Unit cell a=8.870 b=8.870 c=3.900 alpha=90.00 beta=90.00 gamma=90.00
Space group I4/mmm (No. 139)
Symmetry-distinct sites (fractional):
Ga 0.000 0.330 0.000 [8 per cell]
Cu 0.000 0.000 0.000 [2 per cell]
Ag 0.163 0.163 0.500 [8 per cell]

Peak list (8 most intense, 5° ≤ 2θ ≤ 70°, sorted by position)
- 2θ = 14.12°, I = 2
- 2θ = 24.94°, I = 4
- 2θ = 31.91°, I = 2
- 2θ = 38.20°, I = 100
- 2θ = 43.28°, I = 35
- 2θ = 46.58°, I = 14
- 2θ = 62.86°, I = 11
- 2θ = 65.45°, I = 19